(1)
Structure and theoretical PXRD pattern of Tm2Mn17 (a structure optimized by DFT (GGA-PBE); λ = 1.5418 Å (Cu Kα)).
Peak positions follow from Bragg's law for the DFT cell and can differ from measured ones.

The 10 most intense peaks (2θ = 15–90°), by angle:
Position (°2θ)  intensity
31.10  472
32.72  279
36.16  498
39.37  640
42.00  885
43.30  1000
44.86  340
46.09  206
61.90  276
84.72  197

Structure:
```
Tm2Mn17
1.0
4.3021 2.4838 3.8665
-4.3021 2.4838 3.8665
0.0000 -4.9677 3.8665
Tm Mn
2 17
Direct
0.1451 0.1451 0.1451 Tm
0.8549 0.8549 0.8549 Tm
0.0000 0.5000 0.5000 Mn
0.1433 0.1433 0.6239 Mn
0.1433 0.6239 0.1433 Mn
0.2237 0.5000 0.7763 Mn
0.2237 0.7763 0.5000 Mn
0.3761 0.8567 0.8567 Mn
0.4002 0.4002 0.4002 Mn
0.5000 0.0000 0.5000 Mn
0.5000 0.2237 0.7763 Mn
0.5000 0.5000 0.0000 Mn
0.5000 0.7763 0.2237 Mn
0.5998 0.5998 0.5998 Mn
0.6239 0.1433 0.1433 Mn
0.7763 0.2237 0.5000 Mn
0.7763 0.5000 0.2237 Mn
0.8567 0.3761 0.8567 Mn
0.8567 0.8567 0.3761 Mn
```

(2)
Structure and theoretical PXRD pattern of Ho5In4Ir (a structure optimized by DFT (GGA-PBE); λ = 1.5418 Å (Cu Kα)).
Peak positions follow from Bragg's law for the DFT cell and can differ from measured ones.

The 10 most intense peaks (2θ = 15–90°), by angle:
Position (°2θ)  intensity
33.72  1000
36.48  462
36.79  58
44.05  79
52.55  162
58.48  135
63.91  312
70.92  76
87.26  68
88.84  75

Structure:
```
Ho5In4Ir
1.0
3.4830 0.0000 0.0000
0.0000 3.4830 0.0000
0.0000 0.0000 20.5588
Ho In Ir
5 4 1
Direct
0.0000 0.0000 0.0000 Ho
0.0000 0.0000 0.2088 Ho
0.0000 0.0000 0.4205 Ho
0.0000 0.0000 0.5795 Ho
0.0000 0.0000 0.7912 Ho
0.5000 0.5000 0.1042 In
0.5000 0.5000 0.3117 In
0.5000 0.5000 0.6883 In
0.5000 0.5000 0.8958 In
0.5000 0.5000 0.5000 Ir
```

(3)
Structure and theoretical PXRD pattern of TbSn3Cl9 (a structure optimized by DFT (GGA-PBE); λ = 1.5418 Å (Cu Kα)).
Peak positions follow from Bragg's law for the DFT cell and can differ from measured ones.

The 10 most intense peaks (2θ = 15–90°), by angle:
Position (°2θ)  intensity
16.54  909
19.04  569
19.11  1000
21.21  516
22.00  289
25.55  337
29.20  508
31.65  347
33.11  343
33.58  474

Structure:
```
TbSn3Cl9
1.0
9.7840 -4.7008 0.0000
9.7840 4.7008 0.0000
-6.3517 0.0000 9.3028
Tb Sn Cl
2 6 18
Direct
0.1855 0.8145 0.5000 Tb
0.8145 0.1855 0.0000 Tb
0.2164 0.2635 0.7025 Sn
0.2635 0.2164 0.2025 Sn
0.4962 0.6681 0.9487 Sn
0.6681 0.4962 0.4487 Sn
0.7321 0.8726 0.5432 Sn
0.8726 0.7321 0.0432 Sn
0.0152 0.1480 0.5968 Cl
0.0994 0.8284 0.2395 Cl
0.1200 0.4511 0.9425 Cl
0.1480 0.0152 0.0968 Cl
0.2341 0.7374 0.7168 Cl
0.3812 0.4957 0.3873 Cl
0.4308 0.8638 0.6011 Cl
0.4511 0.1200 0.4425 Cl
0.4754 0.9958 0.0580 Cl
0.4957 0.3812 0.8873 Cl
0.5766 0.6719 0.3015 Cl
0.6719 0.5766 0.8015 Cl
0.7374 0.2341 0.2168 Cl
0.8083 0.8950 0.8874 Cl
0.8284 0.0994 0.7395 Cl
0.8638 0.4308 0.1011 Cl
0.8950 0.8083 0.3874 Cl
0.9958 0.4754 0.5580 Cl
```

(4)
Structure and theoretical PXRD pattern of MnGePN (a structure optimized by DFT (GGA-PBE); λ = 1.5418 Å (Cu Kα)).
Peak positions follow from Bragg's law for the DFT cell and can differ from measured ones.

The 10 most intense peaks (2θ = 15–90°), by angle:
Position (°2θ)  intensity
16.29  618
24.16  252
31.74  455
37.29  627
37.40  426
41.67  1000
44.91  387
47.62  542
49.49  227
87.34  223

Structure:
```
MnGePN
1.0
3.7473 0.0000 0.0000
0.0000 2.6806 0.0000
-1.0194 0.0000 5.4426
Mn Ge P N
1 1 1 1
Direct
0.0000 0.0000 0.0000 Mn
0.5608 0.5000 0.2469 Ge
0.5641 0.5000 0.6887 P
0.3002 0.0000 0.7320 N
```

(5)
Structure and theoretical PXRD pattern of Ho3TmPu3Te8 (a structure optimized by DFT (GGA-PBE); λ = 1.5418 Å (Cu Kα)).
Peak positions follow from Bragg's law for the DFT cell and can differ from measured ones.

The 10 most intense peaks (2θ = 15–90°), by angle:
Position (°2θ)  intensity
28.86  1000
41.22  384
41.33  382
51.00  69
51.24  137
59.80  129
67.65  177
67.77  118
75.24  109
75.41  87

Structure:
```
Ho3TmPu3Te8
1.0
7.5780 -4.3621 0.0000
7.5780 4.3621 0.0000
-5.0551 0.0000 7.1629
Ho Tm Pu Te
3 1 3 8
Direct
0.0000 0.0000 0.0000 Ho
0.0000 0.5000 0.0000 Ho
0.5000 0.0000 0.0000 Ho
0.5000 0.5000 0.0000 Tm
0.0000 0.5000 0.5000 Pu
0.5000 0.0000 0.5000 Pu
0.5000 0.5000 0.5000 Pu
0.2434 0.7504 0.2448 Te
0.2478 0.2478 0.2438 Te
0.2494 0.2494 0.7542 Te
0.2496 0.7566 0.7552 Te
0.7504 0.2434 0.2448 Te
0.7506 0.7506 0.2458 Te
0.7522 0.7522 0.7562 Te
0.7566 0.2496 0.7552 Te
```

(6)
Structure and theoretical PXRD pattern of TbPrHoMg (a structure optimized by DFT (GGA-PBE); λ = 1.5418 Å (Cu Kα)).
Peak positions follow from Bragg's law for the DFT cell and can differ from measured ones.

The 10 most intense peaks (2θ = 15–90°), by angle:
Position (°2θ)  intensity
24.20  99
26.15  202
31.33  1000
34.49  416
39.81  105
46.07  111
49.57  149
53.67  176
56.65  104
59.82  316

Structure:
```
TbPrHoMg
1.0
3.6778 0.0000 0.0000
0.0000 3.6778 0.0000
0.0000 0.0000 9.0563
Tb Pr Ho Mg
1 1 1 1
Direct
0.0000 0.0000 0.0000 Tb
0.5000 0.5000 0.2775 Pr
0.0000 0.0000 0.5521 Ho
0.5000 0.5000 0.7738 Mg
```